Simulated powder diffraction line list
Compound: Pr5Ag2Sn5
Radiation: Cu Kα (λ = 1.5418 Å)
Structure: a cell relaxed with PBE
Neutral-atom scattering factors, no anomalous dispersion.

Main lines, in order of falling intensity (10° ≤ 2θ ≤ 90°):
29.93 deg, intensity 100; 36.04 deg, intensity 86; 33.21 deg, intensity 76; 30.90 deg, intensity 69; 38.34 deg, intensity 63; 28.51 deg, intensity 60; 50.03 deg, intensity 36; 31.82 deg, intensity 32; 43.06 deg, intensity 21; 29.18 deg, intensity 20

Structure:
Unit cell a=6.738 b=6.738 c=12.602 alpha=111.74 beta=111.74 gamma=40.79
Element x y z (fractional)
Pr 0.000 0.000 0.000
Pr 0.343 0.343 0.503
Pr 0.381 0.381 0.229
Pr 0.619 0.619 0.771
Pr 0.657 0.657 0.497
Ag 0.283 0.283 0.723
Ag 0.717 0.717 0.277
Sn 0.000 0.000 0.500
Sn 0.091 0.091 0.283
Sn 0.293 0.293 0.950
Sn 0.707 0.707 0.050
Sn 0.909 0.909 0.717